Theoretical X-ray diffraction stick pattern of NdNb4N6 for Cu Kα, from a crystal structure in Alexandria, relaxed with GGA-PBE.

Top 10 peaks for 2θ from 10° to 80°, sorted by position:
2θ = 31.5°, I 368, (1 1 2); 2θ = 33.1°, I 1000, (0 2 5); 2θ = 34.0°, I 685, (1 1 3); 2θ = 34.5°, I 351, (0 4 0); 2θ = 40.1°, I 683, (1 3 2); 2θ = 42.2°, I 282, (1 3 3); 2θ = 55.3°, I 226, (1 1 8); 2θ = 55.6°, I 203, (1 5 3); 2θ = 58.1°, I 205, (0 6 4); 2θ = 68.4°, I 241, (2 2 5)

Atomic structure:
```
data_NdNb4N6
_chemical_formula_sum 'Nd4 Nb16 N24'
_symmetry_space_group_name_H-M 'C m c m'
_symmetry_Int_Tables_number 63
_symmetry_space_group_name_Hall '-C 2c 2'
_cell_length_a 3.181
_cell_length_b 10.387
_cell_length_c 15.880
_cell_angle_alpha 90.00
_cell_angle_beta 90.00
_cell_angle_gamma 90.00
loop_
_atom_site_label
_atom_site_type_symbol
_atom_site_fract_x
_atom_site_fract_y
_atom_site_fract_z
Nd1 Nd 0.000 0.153 0.250
Nb1 Nb 0.000 0.102 0.629
Nb2 Nb 0.000 0.354 0.542
N1 N 0.000 0.000 0.000
N2 N 0.000 0.162 0.750
N3 N 0.000 0.264 0.093
N4 N 0.000 0.466 0.655
```